Diffraction record for BaHg6Pd2. The XRD peak list is calculated, not measured: it uses a crystal structure in Alexandria, relaxed with PBE and a wavelength of 1.5418 Å.
Kinematic intensities with the Lorentz-polarization factor, no thermal factor.

Largest 12 diffraction maxima, by angle, 2θ = 15–90°:
Position (°2θ)  intensity  h k l
19.05  16  2 2 0
22.37  21  3 1 1
27.06  68  4 0 0
33.31  12  4 2 2
35.39  10  3 3 3
38.65  100  4 4 0
47.82  17  4 4 4
53.40  17  7 3 1
55.81  15  8 0 0
63.10  18  8 4 0
69.94  27  8 4 4
74.47  10  7 7 3

a b c (Å): 13.179 13.179 13.179
angles (deg): 90.00 90.00 90.00
Space group Fd-3m (No. 227, origin choice 2)
Inequivalent atoms, fractional coordinates:
Ba: 0.125 0.125 0.125 [8 per cell]
Hg: 0.105 0.375 0.875 [48 per cell]
Pd: 0.000 0.000 0.500 [16 per cell]



Diffraction record for La2Sn3Pb3. The XRD peak list is calculated, not measured: it uses a crystal structure in Alexandria, relaxed with PBE and a wavelength of 1.5418 Å.
Kinematic intensities with the Lorentz-polarization factor, no thermal factor.

Largest 12 diffraction maxima, by angle, 2θ = 15–90°:
Position (°2θ)  intensity  h k l
31.71  100  1 1 2
36.66  17  0 0 4
36.83  34  2 0 0
52.95  24  2 0 4
53.08  12  2 2 0
62.93  14  1 1 6
63.11  14  1 3 2
63.21  14  3 1 2
66.24  12  2 2 4
86.80  13  3 1 6
87.00  6  3 3 2
89.85  6  2 4 0

a b c (Å): 4.875 4.885 9.805
angles (deg): 90.00 90.00 90.00
Space group Pmmm (No. 47)
Inequivalent atoms, fractional coordinates:
La: 0.000 0.000 0.245 [2 per cell]
Sn: 0.500 0.000 0.000 [1 per cell]
Sn: 0.500 0.500 0.247 [2 per cell]
Pb: 0.000 0.500 0.000 [1 per cell]
Pb: 0.000 0.500 0.500 [1 per cell]
Pb: 0.500 0.000 0.500 [1 per cell]